Record 1
# MgMn2O4
Simulated powder X-ray diffraction pattern, Cu Kα X-rays. Input: a DFT-relaxed cell (GGA+U, the Materials Project).
Peak positions follow from Bragg's law for the DFT cell and can differ from measured ones.

Main lines, by angle (10 to 80 degrees two-theta):
two_theta, d [Å], I (rel.)
17.2, 5.153, 24
17.9, 4.947, 100
33.8, 2.655, 13
34.8, 2.578, 38
36.7, 2.451, 17
41.9, 2.155, 82
42.0, 2.150, 41
59.8, 1.547, 22
61.8, 1.501, 22
62.4, 1.489, 14

Crystal structure
Lattice parameters (Å, degrees): 5.432 5.957 6.004 60.27 74.03 89.92
Element x y z (fractional)
Mg (0.000, 0.250, 0.000)
Mg (0.000, 0.750, 0.000)
Mn (0.000, 0.249, 0.500)
Mn (0.000, 0.751, 0.500)
Mn (0.500, 0.000, 0.500)
Mn (0.500, 0.500, 0.500)
O (0.199, 0.105, 0.289)
O (0.200, 0.604, 0.291)
O (0.213, 0.132, 0.736)
O (0.213, 0.632, 0.736)
O (0.787, 0.368, 0.264)
O (0.787, 0.868, 0.264)
O (0.800, 0.396, 0.709)
O (0.801, 0.895, 0.711)

Record 2
# MgMn4O4F4
Simulated powder X-ray diffraction pattern, Cu Kα X-rays. Input: a DFT-relaxed cell (GGA+U, the Materials Project).
Peak positions follow from Bragg's law for the DFT cell and can differ from measured ones.

Main lines, by angle (10 to 80 degrees two-theta):
two_theta, d [Å], I (rel.)
16.7, 5.321, 32
21.5, 4.133, 100
24.5, 3.627, 41
26.4, 3.380, 50
29.5, 3.024, 71
30.7, 2.910, 44
33.2, 2.696, 41
34.8, 2.576, 38
41.4, 2.182, 46
51.5, 1.773, 32

Crystal structure
Lattice parameters (Å, degrees): 5.335 5.526 5.883 79.17 79.51 77.03
Element x y z (fractional)
Mg (0.000, 0.000, 0.000)
Mn (0.051, 0.935, 0.497)
Mn (0.410, 0.381, 0.292)
Mn (0.516, 0.988, 0.977)
Mn (0.634, 0.556, 0.687)
O (0.224, 0.108, 0.206)
O (0.313, 0.641, 0.513)
O (0.668, 0.261, 0.980)
O (0.817, 0.821, 0.788)
F (0.231, 0.122, 0.715)
F (0.329, 0.706, 0.000)
F (0.767, 0.262, 0.471)
F (0.823, 0.811, 0.281)

Record 3
# LiFe4B4O12
Simulated powder X-ray diffraction pattern, Cu Kα X-rays. Input: a DFT-relaxed cell (GGA+U, the Materials Project).
Peak positions follow from Bragg's law for the DFT cell and can differ from measured ones.

Main lines, by angle (10 to 80 degrees two-theta):
two_theta, d [Å], I (rel.)
19.6, 4.520, 100
21.3, 4.180, 57
21.3, 4.165, 54
21.5, 4.128, 61
26.0, 3.427, 40
26.1, 3.408, 42
26.3, 3.390, 61
34.1, 2.632, 36
34.3, 2.616, 35
35.4, 2.533, 95

Crystal structure
Lattice parameters (Å, degrees): 5.338 9.040 10.131 89.77 89.44 89.59
Element x y z (fractional)
Li (0.000, 0.000, 0.000)
Li (0.200, 0.509, 0.758)
Fe (0.000, 0.341, 0.985)
Fe (0.008, 0.664, 0.485)
Fe (0.190, 0.846, 0.730)
Fe (0.193, 0.165, 0.232)
Fe (0.508, 0.823, 0.981)
Fe (0.511, 0.163, 0.480)
Fe (0.688, 0.664, 0.238)
Fe (0.690, 0.323, 0.732)
B (0.016, 0.677, 0.981)
B (0.018, 0.326, 0.482)
B (0.177, 0.828, 0.229)
B (0.181, 0.178, 0.734)
B (0.509, 0.827, 0.480)
B (0.510, 0.156, 0.979)
B (0.687, 0.328, 0.235)
B (0.687, 0.656, 0.736)
O (0.040, 0.712, 0.284)
O (0.054, 0.312, 0.766)
O (0.079, 0.048, 0.761)
O (0.079, 0.967, 0.216)
O (0.110, 0.544, 0.947)
O (0.111, 0.465, 0.486)
O (0.145, 0.808, 0.950)
O (0.157, 0.206, 0.431)
O (0.265, 0.173, 0.029)
O (0.269, 0.802, 0.528)
O (0.419, 0.194, 0.674)
O (0.420, 0.798, 0.183)
O (0.547, 0.206, 0.278)
O (0.557, 0.776, 0.789)
O (0.569, 0.521, 0.732)
O (0.591, 0.467, 0.240)
O (0.604, 0.965, 0.475)
O (0.629, 0.020, 0.986)
O (0.636, 0.276, 0.925)
O (0.652, 0.704, 0.438)
O (0.778, 0.296, 0.532)
O (0.780, 0.694, 0.042)
O (0.928, 0.302, 0.186)
O (0.932, 0.672, 0.687)

Record 4
# Pr2NiO4
Simulated powder X-ray diffraction pattern, Cu Kα X-rays. Input: a DFT-relaxed cell (GGA+U, the Materials Project).
Peak positions follow from Bragg's law for the DFT cell and can differ from measured ones.

Main lines, by angle (10 to 80 degrees two-theta):
two_theta, d [Å], I (rel.)
23.7, 3.759, 30
29.1, 3.074, 14
31.5, 2.843, 100
32.1, 2.792, 73
43.3, 2.087, 22
43.8, 2.067, 30
46.0, 1.974, 35
56.8, 1.622, 38
57.4, 1.605, 11
65.0, 1.434, 11

Crystal structure
Lattice parameters (Å, degrees): 5.584 5.584 12.295 90.00 90.00 90.00
Element x y z (fractional)
Pr (0.015, 0.015, 0.137)
Pr (0.015, 0.485, 0.637)
Pr (0.485, 0.015, 0.637)
Pr (0.485, 0.485, 0.137)
Pr (0.515, 0.515, 0.863)
Pr (0.515, 0.985, 0.363)
Pr (0.985, 0.515, 0.363)
Pr (0.985, 0.985, 0.863)
Ni (0.000, 0.000, 0.500)
Ni (0.000, 0.500, 0.000)
Ni (0.500, 0.000, 0.000)
Ni (0.500, 0.500, 0.500)
O (0.050, 0.050, 0.679)
O (0.050, 0.450, 0.179)
O (0.250, 0.250, 0.473)
O (0.250, 0.250, 0.973)
O (0.250, 0.750, 0.000)
O (0.250, 0.750, 0.500)
O (0.450, 0.050, 0.179)
O (0.450, 0.450, 0.679)
O (0.550, 0.550, 0.321)
O (0.550, 0.950, 0.821)
O (0.750, 0.250, 0.000)
O (0.750, 0.250, 0.500)
O (0.750, 0.750, 0.027)
O (0.750, 0.750, 0.527)
O (0.950, 0.550, 0.821)
O (0.950, 0.950, 0.321)

Record 5
# Ba6Nd2YMo3O18
Simulated powder X-ray diffraction pattern, Cu Kα X-rays. Input: a DFT-relaxed cell (GGA+U, the Materials Project).
Peak positions follow from Bragg's law for the DFT cell and can differ from measured ones.

Main lines, by angle (10 to 80 degrees two-theta):
two_theta, d [Å], I (rel.)
29.3, 3.047, 100
29.6, 3.021, 20
41.7, 2.165, 12
42.1, 2.148, 12
42.2, 2.141, 12
51.8, 1.764, 8
52.0, 1.759, 25
52.3, 1.749, 16
60.8, 1.524, 11
60.9, 1.522, 7

Crystal structure
Lattice parameters (Å, degrees): 10.487 10.487 6.091 106.72 106.72 48.76
Element x y z (fractional)
Ba (0.084, 0.584, 0.334)
Ba (0.250, 0.750, 0.000)
Ba (0.416, 0.916, 0.666)
Ba (0.584, 0.084, 0.334)
Ba (0.750, 0.250, 0.000)
Ba (0.916, 0.416, 0.666)
Nd (0.167, 0.167, 0.167)
Nd (0.833, 0.833, 0.833)
Y (0.500, 0.500, 0.500)
Mo (0.000, 0.000, 0.500)
Mo (0.335, 0.335, 0.836)
Mo (0.665, 0.665, 0.164)
O (0.067, 0.067, 0.302)
O (0.090, 0.090, 0.788)
O (0.100, 0.568, 0.834)
O (0.231, 0.769, 0.500)
O (0.249, 0.249, 0.547)
O (0.270, 0.270, 0.033)
O (0.402, 0.402, 0.637)
O (0.422, 0.422, 0.132)
O (0.432, 0.900, 0.166)
O (0.568, 0.100, 0.834)
O (0.578, 0.578, 0.868)
O (0.598, 0.598, 0.363)
O (0.730, 0.730, 0.967)
O (0.751, 0.751, 0.453)
O (0.769, 0.231, 0.500)
O (0.900, 0.432, 0.166)
O (0.910, 0.910, 0.212)
O (0.933, 0.933, 0.698)

Record 6
# LiFeBO3
Simulated powder X-ray diffraction pattern, Cu Kα X-rays. Input: a DFT-relaxed cell (GGA+U, the Materials Project).
Peak positions follow from Bragg's law for the DFT cell and can differ from measured ones.

Main lines, by angle (10 to 80 degrees two-theta):
two_theta, d [Å], I (rel.)
21.7, 4.102, 100
31.1, 2.876, 14
33.4, 2.685, 17
36.0, 2.496, 78
38.0, 2.368, 30
44.2, 2.051, 13
48.1, 1.892, 26
53.3, 1.718, 23
55.0, 1.670, 19
67.3, 1.391, 11

Crystal structure
Lattice parameters (Å, degrees): 6.291 8.207 8.781 62.16 69.06 89.99
Element x y z (fractional)
Li (0.000, 0.000, 0.000)
Li (0.131, 0.582, 0.734)
Li (0.343, 0.267, 0.315)
Li (0.500, 0.000, 0.000)
Li (0.636, 0.581, 0.734)
Li (0.842, 0.267, 0.315)
Fe (0.061, 0.912, 0.378)
Fe (0.238, 0.645, 0.023)
Fe (0.428, 0.291, 0.645)
Fe (0.561, 0.913, 0.378)
Fe (0.734, 0.651, 0.031)
Fe (0.928, 0.290, 0.646)
B (0.160, 0.949, 0.683)
B (0.242, 0.283, 0.016)
B (0.324, 0.615, 0.350)
B (0.659, 0.949, 0.683)
B (0.742, 0.285, 0.016)
B (0.825, 0.616, 0.350)
O (0.063, 0.842, 0.878)
O (0.144, 0.197, 0.211)
O (0.203, 0.144, 0.595)
O (0.212, 0.861, 0.575)
O (0.228, 0.500, 0.545)
O (0.285, 0.173, 0.930)
O (0.297, 0.478, 0.907)
O (0.365, 0.810, 0.270)
O (0.382, 0.536, 0.234)
O (0.561, 0.842, 0.878)
O (0.644, 0.196, 0.212)
O (0.702, 0.144, 0.595)
O (0.713, 0.861, 0.576)
O (0.729, 0.500, 0.545)
O (0.785, 0.174, 0.930)
O (0.797, 0.479, 0.907)
O (0.865, 0.810, 0.270)
O (0.882, 0.536, 0.234)

Record 7
# GdWClO4
Simulated powder X-ray diffraction pattern, Cu Kα X-rays. Input: a DFT-relaxed cell (GGA+U, the Materials Project).
Peak positions follow from Bragg's law for the DFT cell and can differ from measured ones.

Main lines, by angle (10 to 80 degrees two-theta):
two_theta, d [Å], I (rel.)
13.2, 6.715, 31
17.8, 4.987, 37
23.9, 3.725, 100
25.2, 3.528, 58
28.1, 3.181, 60
28.8, 3.104, 57
33.9, 2.641, 40
35.0, 2.561, 34
45.0, 2.013, 27
48.9, 1.864, 32

Crystal structure
Lattice parameters (Å, degrees): 6.419 6.419 7.040 104.16 104.16 70.94
Element x y z (fractional)
Gd (0.222, 0.222, 0.118)
Gd (0.778, 0.778, 0.882)
W (0.363, 0.363, 0.733)
W (0.637, 0.637, 0.267)
Cl (0.012, 0.012, 0.769)
Cl (0.988, 0.988, 0.231)
O (0.111, 0.491, 0.845)
O (0.293, 0.293, 0.466)
O (0.457, 0.457, 0.199)
O (0.491, 0.111, 0.845)
O (0.509, 0.889, 0.155)
O (0.543, 0.543, 0.801)
O (0.707, 0.707, 0.534)
O (0.889, 0.509, 0.155)

Record 8
# MgMn2FeWO6
Simulated powder X-ray diffraction pattern, Cu Kα X-rays. Input: a DFT-relaxed cell (GGA+U, the Materials Project).
Peak positions follow from Bragg's law for the DFT cell and can differ from measured ones.

Main lines, by angle (10 to 80 degrees two-theta):
two_theta, d [Å], I (rel.)
17.0, 5.216, 49
19.8, 4.479, 56
21.9, 4.063, 56
22.3, 3.995, 26
32.8, 2.734, 100
33.1, 2.704, 47
34.1, 2.628, 92
34.9, 2.569, 41
48.9, 1.863, 39
58.9, 1.568, 26

Crystal structure
Lattice parameters (Å, degrees): 5.409 5.466 6.035 88.82 63.42 60.46
Element x y z (fractional)
Mg (0.000, 0.000, 0.000)
Mn (0.622, 0.190, 0.562)
Mn (0.759, 0.608, 0.862)
Fe (0.208, 0.391, 0.195)
W (0.363, 0.814, 0.458)
O (0.190, 0.610, 0.719)
O (0.215, 0.752, 0.209)
O (0.480, 0.903, 0.716)
O (0.550, 0.040, 0.230)
O (0.827, 0.401, 0.220)
O (0.894, 0.191, 0.718)

Record 9
# Li9Mn7O16
Simulated powder X-ray diffraction pattern, Cu Kα X-rays. Input: a DFT-relaxed cell (GGA+U, the Materials Project).
Peak positions follow from Bragg's law for the DFT cell and can differ from measured ones.

Main lines, by angle (10 to 80 degrees two-theta):
two_theta, d [Å], I (rel.)
18.3, 4.853, 100
33.9, 2.648, 18
36.2, 2.484, 12
36.3, 2.473, 12
40.6, 2.222, 35
44.2, 2.047, 28
44.3, 2.044, 27
61.2, 1.514, 8
61.7, 1.504, 16
62.0, 1.498, 8

Crystal structure
Lattice parameters (Å, degrees): 5.087 5.294 11.364 84.61 88.06 77.63
Element x y z (fractional)
Li (0.000, 0.000, 0.000)
Li (0.233, 0.421, 0.063)
Li (0.238, 0.684, 0.820)
Li (0.246, 0.177, 0.313)
Li (0.250, 0.935, 0.562)
Li (0.750, 0.065, 0.438)
Li (0.754, 0.823, 0.687)
Li (0.762, 0.316, 0.180)
Li (0.767, 0.579, 0.937)
Mn (0.000, 0.500, 0.500)
Mn (0.004, 0.768, 0.242)
Mn (0.495, 0.370, 0.628)
Mn (0.499, 0.891, 0.120)
Mn (0.501, 0.109, 0.880)
Mn (0.505, 0.630, 0.372)
Mn (0.996, 0.232, 0.758)
O (0.137, 0.583, 0.647)
O (0.140, 0.333, 0.897)
O (0.141, 0.835, 0.394)
O (0.153, 0.090, 0.152)
O (0.362, 0.031, 0.732)
O (0.364, 0.290, 0.476)
O (0.382, 0.583, 0.212)
O (0.395, 0.815, 0.969)
O (0.605, 0.185, 0.031)
O (0.618, 0.417, 0.788)
O (0.636, 0.710, 0.524)
O (0.638, 0.969, 0.268)
O (0.847, 0.910, 0.848)
O (0.859, 0.165, 0.606)
O (0.860, 0.667, 0.103)
O (0.863, 0.417, 0.353)

Record 10
# Fe4O5F3
Simulated powder X-ray diffraction pattern, Cu Kα X-rays. Input: a DFT-relaxed cell (GGA+U, the Materials Project).
Peak positions follow from Bragg's law for the DFT cell and can differ from measured ones.

Main lines, by angle (10 to 80 degrees two-theta):
two_theta, d [Å], I (rel.)
26.7, 3.339, 100
35.1, 2.560, 52
38.1, 2.361, 8
40.1, 2.250, 17
52.7, 1.735, 56
55.0, 1.669, 15
60.8, 1.523, 9
62.2, 1.493, 7
66.9, 1.398, 19
67.6, 1.386, 12

Crystal structure
Lattice parameters (Å, degrees): 6.093 4.724 9.916 90.00 107.85 90.00
Element x y z (fractional)
Fe (0.060, 0.000, 0.377)
Fe (0.200, 0.512, 0.147)
Fe (0.322, 0.944, 0.886)
Fe (0.438, 0.520, 0.634)
Fe (0.562, 0.020, 0.366)
Fe (0.678, 0.444, 0.114)
Fe (0.800, 0.012, 0.853)
Fe (0.940, 0.500, 0.623)
O (0.016, 0.799, 0.777)
O (0.141, 0.693, 0.531)
O (0.268, 0.819, 0.289)
O (0.391, 0.667, 0.035)
O (0.486, 0.298, 0.224)
O (0.514, 0.798, 0.776)
O (0.609, 0.167, 0.965)
O (0.732, 0.319, 0.711)
O (0.859, 0.193, 0.469)
O (0.984, 0.299, 0.223)
F (0.108, 0.184, 0.972)
F (0.238, 0.292, 0.726)
F (0.365, 0.208, 0.481)
F (0.635, 0.708, 0.519)
F (0.762, 0.792, 0.274)
F (0.892, 0.684, 0.028)

Please write out number 10 again, unchanged.
# Fe4O5F3
Simulated powder X-ray diffraction pattern, Cu Kα X-rays. Input: a DFT-relaxed cell (GGA+U, the Materials Project).
Peak positions follow from Bragg's law for the DFT cell and can differ from measured ones.

Main lines, by angle (10 to 80 degrees two-theta):
two_theta, d [Å], I (rel.)
26.7, 3.339, 100
35.1, 2.560, 52
38.1, 2.361, 8
40.1, 2.250, 17
52.7, 1.735, 56
55.0, 1.669, 15
60.8, 1.523, 9
62.2, 1.493, 7
66.9, 1.398, 19
67.6, 1.386, 12

Crystal structure
Lattice parameters (Å, degrees): 6.093 4.724 9.916 90.00 107.85 90.00
Element x y z (fractional)
Fe (0.060, 0.000, 0.377)
Fe (0.200, 0.512, 0.147)
Fe (0.322, 0.944, 0.886)
Fe (0.438, 0.520, 0.634)
Fe (0.562, 0.020, 0.366)
Fe (0.678, 0.444, 0.114)
Fe (0.800, 0.012, 0.853)
Fe (0.940, 0.500, 0.623)
O (0.016, 0.799, 0.777)
O (0.141, 0.693, 0.531)
O (0.268, 0.819, 0.289)
O (0.391, 0.667, 0.035)
O (0.486, 0.298, 0.224)
O (0.514, 0.798, 0.776)
O (0.609, 0.167, 0.965)
O (0.732, 0.319, 0.711)
O (0.859, 0.193, 0.469)
O (0.984, 0.299, 0.223)
F (0.108, 0.184, 0.972)
F (0.238, 0.292, 0.726)
F (0.365, 0.208, 0.481)
F (0.635, 0.708, 0.519)
F (0.762, 0.792, 0.274)
F (0.892, 0.684, 0.028)

What did the eighth record say?
# MgMn2FeWO6
Simulated powder X-ray diffraction pattern, Cu Kα X-rays. Input: a DFT-relaxed cell (GGA+U, the Materials Project).
Peak positions follow from Bragg's law for the DFT cell and can differ from measured ones.

Main lines, by angle (10 to 80 degrees two-theta):
two_theta, d [Å], I (rel.)
17.0, 5.216, 49
19.8, 4.479, 56
21.9, 4.063, 56
22.3, 3.995, 26
32.8, 2.734, 100
33.1, 2.704, 47
34.1, 2.628, 92
34.9, 2.569, 41
48.9, 1.863, 39
58.9, 1.568, 26

Crystal structure
Lattice parameters (Å, degrees): 5.409 5.466 6.035 88.82 63.42 60.46
Element x y z (fractional)
Mg (0.000, 0.000, 0.000)
Mn (0.622, 0.190, 0.562)
Mn (0.759, 0.608, 0.862)
Fe (0.208, 0.391, 0.195)
W (0.363, 0.814, 0.458)
O (0.190, 0.610, 0.719)
O (0.215, 0.752, 0.209)
O (0.480, 0.903, 0.716)
O (0.550, 0.040, 0.230)
O (0.827, 0.401, 0.220)
O (0.894, 0.191, 0.718)

What is the formula in the second record? MgMn4O4F4

Please write out number 6 again, unchanged.
# LiFeBO3
Simulated powder X-ray diffraction pattern, Cu Kα X-rays. Input: a DFT-relaxed cell (GGA+U, the Materials Project).
Peak positions follow from Bragg's law for the DFT cell and can differ from measured ones.

Main lines, by angle (10 to 80 degrees two-theta):
two_theta, d [Å], I (rel.)
21.7, 4.102, 100
31.1, 2.876, 14
33.4, 2.685, 17
36.0, 2.496, 78
38.0, 2.368, 30
44.2, 2.051, 13
48.1, 1.892, 26
53.3, 1.718, 23
55.0, 1.670, 19
67.3, 1.391, 11

Crystal structure
Lattice parameters (Å, degrees): 6.291 8.207 8.781 62.16 69.06 89.99
Element x y z (fractional)
Li (0.000, 0.000, 0.000)
Li (0.131, 0.582, 0.734)
Li (0.343, 0.267, 0.315)
Li (0.500, 0.000, 0.000)
Li (0.636, 0.581, 0.734)
Li (0.842, 0.267, 0.315)
Fe (0.061, 0.912, 0.378)
Fe (0.238, 0.645, 0.023)
Fe (0.428, 0.291, 0.645)
Fe (0.561, 0.913, 0.378)
Fe (0.734, 0.651, 0.031)
Fe (0.928, 0.290, 0.646)
B (0.160, 0.949, 0.683)
B (0.242, 0.283, 0.016)
B (0.324, 0.615, 0.350)
B (0.659, 0.949, 0.683)
B (0.742, 0.285, 0.016)
B (0.825, 0.616, 0.350)
O (0.063, 0.842, 0.878)
O (0.144, 0.197, 0.211)
O (0.203, 0.144, 0.595)
O (0.212, 0.861, 0.575)
O (0.228, 0.500, 0.545)
O (0.285, 0.173, 0.930)
O (0.297, 0.478, 0.907)
O (0.365, 0.810, 0.270)
O (0.382, 0.536, 0.234)
O (0.561, 0.842, 0.878)
O (0.644, 0.196, 0.212)
O (0.702, 0.144, 0.595)
O (0.713, 0.861, 0.576)
O (0.729, 0.500, 0.545)
O (0.785, 0.174, 0.930)
O (0.797, 0.479, 0.907)
O (0.865, 0.810, 0.270)
O (0.882, 0.536, 0.234)